Computed PXRD pattern of Mn3PtF6 for Cu Kα (weighted mean of Kα1 and Kα2), from the GGA+U geometry in Alexandria.
Kinematic intensities with the Lorentz-polarization factor, no thermal factor.

Cell and atoms:
```
Mn3PtF6
1.0
5.510 0.000 0.000
-2.025 5.130 0.000
-0.550 -0.808 5.492
Mn Pt F
3 1 6
Direct
0.000 0.000 0.000 Mn
0.000 0.500 0.500 Mn
0.500 0.000 0.500 Mn
0.500 0.500 0.500 Pt
0.135 0.792 0.260 F
0.208 0.865 0.740 F
0.336 0.334 0.157 F
0.664 0.666 0.843 F
0.792 0.135 0.260 F
0.865 0.208 0.740 F
```

The 10 most intense peaks (2θ from 10° to 90°), low angle first:
2θ = 16.1°, rel. 83.9; 2θ = 17.5°, rel. 34.1; 2θ = 22.1°, rel. 100.0; 2θ = 25.6°, rel. 48.4; 2θ = 32.9°, rel. 30.4; 2θ = 35.4°, rel. 41.9; 2θ = 35.7°, rel. 37.4; 2θ = 36.8°, rel. 29.1; 2θ = 39.5°, rel. 35.9; 2θ = 45.0°, rel. 32.2